[1]
Rb2CuPbF6: computed X-ray powder pattern (λ = 1.5418 Å (Cu Kα)), based on DFT lattice parameters and positions (GGA-PBE).

Cell and atoms:
Lattice parameters (Å, degrees): 6.084 6.084 8.791 90.00 90.00 90.00
Space group I4/m (No. 87)
Inequivalent atoms, fractional coordinates:
Rb  0.000  0.500  0.250 x4
Cu  0.000  0.000  0.000 x2
Pb  0.000  0.000  0.500 x2
F  0.000  0.000  0.234 x4
F  0.194  0.269  0.000 x8

Largest 12 diffraction maxima, sorted by position, 5° ≤ 2θ ≤ 70°:
| h k l | d [Å] | Rel. int. |
| --- | --- | --- |
| 1 0 1 | 5.003 | 27 |
| 1 1 0 | 4.302 | 13 |
| 1 1 2 | 3.074 | 100 |
| 2 0 0 | 3.042 | 52 |
| 2 1 1 | 2.599 | 16 |
| 0 0 4 | 2.198 | 19 |
| 2 2 0 | 2.151 | 33 |
| 2 0 4 | 1.781 | 22 |
| 1 3 2 | 1.762 | 43 |
| 2 2 4 | 1.537 | 21 |
| 4 0 0 | 1.521 | 10 |
| 4 2 0 | 1.360 | 11 |

***

[2]
CuTe2Pb2F2: computed X-ray powder pattern (λ = 1.5418 Å (Cu Kα)), based on DFT lattice parameters and positions (GGA-PBE).

Cell and atoms:
Lattice parameters (Å, degrees): 4.107 4.107 9.459 90.00 90.00 90.00
Space group P-4m2 (No. 115)
Inequivalent atoms, fractional coordinates:
Cu  0.000  0.000  0.000 x1
Te  0.000  0.500  0.162 x2
Pb  0.000  0.500  0.662 x2
F  0.000  0.000  0.500 x1
F  0.500  0.500  0.500 x1

Largest 12 diffraction maxima, sorted by position, 5° ≤ 2θ ≤ 70°:
| h k l | d [Å] | Rel. int. |
| --- | --- | --- |
| 0 0 2 | 4.730 | 6 |
| 1 0 1 | 3.767 | 10 |
| 1 0 2 | 3.101 | 100 |
| 1 1 0 | 2.904 | 36 |
| 1 1 2 | 2.475 | 25 |
| 2 0 0 | 2.051 | 51 |
| 1 1 4 | 1.834 | 16 |
| 2 0 3 | 1.720 | 4 |
| 2 1 2 | 1.712 | 36 |
| 0 0 6 | 1.577 | 5 |
| 2 2 0 | 1.451 | 25 |
| 1 1 6 | 1.386 | 8 |

***

[3]
Cu2Te2PbF2: computed X-ray powder pattern (λ = 1.5418 Å (Cu Kα)), based on DFT lattice parameters and positions (GGA-PBE).

Cell and atoms:
Lattice parameters (Å, degrees): 3.617 3.617 10.300 90.00 90.00 90.00
Space group P-4m2 (No. 115)
Inequivalent atoms, fractional coordinates:
Cu  0.000  0.500  0.124 x2
Te  0.000  0.500  0.751 x2
Pb  0.000  0.000  0.500 x1
F  0.000  0.000  0.000 x1
F  0.500  0.500  0.000 x1

Largest 12 diffraction maxima, sorted by position, 5° ≤ 2θ ≤ 70°:
| h k l | d [Å] | Rel. int. |
| --- | --- | --- |
| 1 0 0 | 3.617 | 29 |
| 0 0 3 | 3.433 | 21 |
| 1 0 1 | 3.413 | 79 |
| 1 0 2 | 2.960 | 51 |
| 1 0 3 | 2.490 | 87 |
| 1 1 1 | 2.482 | 37 |
| 1 1 2 | 2.291 | 100 |
| 2 0 0 | 1.808 | 40 |
| 1 0 5 | 1.790 | 31 |
| 2 0 3 | 1.599 | 28 |
| 2 1 3 | 1.463 | 32 |
| 1 1 6 | 1.425 | 23 |

***

[4]
Zr2CuPdF11: computed X-ray powder pattern (λ = 1.5418 Å (Cu Kα)), based on DFT lattice parameters and positions (GGA-PBE).

Cell and atoms:
Lattice parameters (Å, degrees): 8.963 6.669 7.843 90.00 116.60 90.00
Space group C2/m (No. 12)
Inequivalent atoms, fractional coordinates:
Zr  0.005  0.000  0.272 x4
Cu  0.000  0.500  0.500 x2
Pd  0.000  0.500  0.000 x2
F  0.000  0.000  0.000 x2
F  0.000  0.175  0.500 x4
F  0.022  0.296  0.798 x8
F  0.242  0.000  0.824 x4
F  0.243  0.500  0.592 x4

Largest 12 diffraction maxima, sorted by position, 5° ≤ 2θ ≤ 70°:
| h k l | d [Å] | Rel. int. |
| --- | --- | --- |
| 2 0 0 | 4.007 | 100 |
| 1 1 -2 | 3.380 | 100 |
| 0 2 0 | 3.334 | 49 |
| 3 1 -2 | 2.596 | 18 |
| 1 1 2 | 2.571 | 19 |
| 2 2 0 | 2.563 | 16 |
| 4 0 0 | 2.004 | 25 |
| 2 0 -4 | 1.961 | 18 |
| 1 3 -2 | 1.934 | 35 |
| 1 3 2 | 1.738 | 14 |
| 5 1 -2 | 1.731 | 14 |
| 4 2 0 | 1.717 | 27 |

***

[5]
Rb2CuTcF6: computed X-ray powder pattern (λ = 1.5418 Å (Cu Kα)), based on DFT lattice parameters and positions (GGA-PBE).

Cell and atoms:
Lattice parameters (Å, degrees): 5.8323 5.8323 14.3398 90.00 90.00 120.00
Space group R-3 (No. 148, hexagonal axes)
Inequivalent atoms, fractional coordinates:
Rb  0.0000  0.0000  0.2492 x6
Cu  0.0000  0.0000  0.0000 x3
Tc  0.0000  0.0000  0.5000 x3
F  0.0050  0.4902  0.2494 x18

Largest 11 diffraction maxima, sorted by position, 5° ≤ 2θ ≤ 70°:
| h k l | d [Å] | Rel. int. |
| --- | --- | --- |
| 0 0 3 | 4.768 | 3 |
| 0 1 2 | 4.129 | 2 |
| 1 0 4 | 2.920 | 100 |
| 2 -1 3 | 2.490 | 1 |
| 0 0 6 | 2.390 | 1 |
| 2 0 2 | 2.382 | 4 |
| 0 2 4 | 2.065 | 41 |
| 0 1 8 | 1.689 | 10 |
| 3 0 0 | 1.685 | 29 |
| 2 0 8 | 1.462 | 12 |
| 2 2 0 | 1.458 | 12 |

***

[6]
RbZrCuF7: computed X-ray powder pattern (λ = 1.5418 Å (Cu Kα)), based on DFT lattice parameters and positions (GGA-PBE).

Cell and atoms:
Lattice parameters (Å, degrees): 6.462 10.781 7.933 90.00 90.00 90.00
Space group Cmcm (No. 63)
Inequivalent atoms, fractional coordinates:
Rb  0.000  0.000  0.000 x4
Zr  0.000  0.312  0.250 x4
Cu  0.000  0.310  0.750 x4
F  0.000  0.301  0.507 x8
F  0.000  0.500  0.250 x4
F  0.188  0.151  0.250 x8
F  0.194  0.136  0.750 x8

Largest 12 diffraction maxima, sorted by position, 5° ≤ 2θ ≤ 70°:
| h k l | d [Å] | Rel. int. |
| --- | --- | --- |
| 0 0 2 | 3.967 | 24 |
| 2 0 0 | 3.228 | 100 |
| 0 2 2 | 3.195 | 40 |
| 1 3 0 | 3.141 | 66 |
| 2 2 2 | 2.272 | 21 |
| 0 0 4 | 1.983 | 26 |
| 3 1 2 | 1.864 | 22 |
| 3 3 0 | 1.848 | 26 |
| 1 5 2 | 1.818 | 27 |
| 1 3 4 | 1.677 | 22 |
| 3 5 2 | 1.423 | 13 |
| 3 3 4 | 1.352 | 17 |

***

[7]
CuReF6: computed X-ray powder pattern (λ = 1.5418 Å (Cu Kα)), based on DFT lattice parameters and positions (GGA-PBE).

Cell and atoms:
Lattice parameters (Å, degrees): 8.961 8.961 8.961 90.00 90.00 90.00
Space group Ia-3 (No. 206)
Inequivalent atoms, fractional coordinates:
Cu  0.000  0.000  0.000 x8
Re  0.250  0.250  0.250 x8
F  0.091  0.121  0.316 x48

Largest 12 diffraction maxima, sorted by position, 5° ≤ 2θ ≤ 70°:
| h k l | d [Å] | Rel. int. |
| --- | --- | --- |
| 2 0 0 | 4.481 | 30 |
| 2 2 0 | 3.168 | 100 |
| 2 2 2 | 2.587 | 9 |
| 3 2 1 | 2.395 | 3 |
| 4 0 0 | 2.240 | 11 |
| 4 1 1 | 2.112 | 2 |
| 4 0 2 | 2.004 | 10 |
| 4 2 2 | 1.829 | 50 |
| 4 4 0 | 1.584 | 17 |
| 4 4 2 | 1.494 | 8 |
| 6 0 2 | 1.417 | 22 |
| 6 2 2 | 1.351 | 4 |

***

[8]
CuSb2Xe4F20: computed X-ray powder pattern (λ = 1.5418 Å (Cu Kα)), based on DFT lattice parameters and positions (GGA-PBE).

Cell and atoms:
Lattice parameters (Å, degrees): 10.231 10.231 8.004 90.00 90.00 90.00
Space group I-4 (No. 82)
Inequivalent atoms, fractional coordinates:
Cu  0.000  0.000  0.000 x2
Sb  0.000  0.000  0.500 x2
Sb  0.000  0.500  0.750 x2
Xe  0.150  0.719  0.133 x8
F  0.000  0.000  0.261 x4
F  0.000  0.500  0.510 x4
F  0.018  0.813  0.964 x8
F  0.062  0.823  0.496 x8
F  0.113  0.352  0.740 x8
F  0.132  0.231  0.201 x8

Largest 12 diffraction maxima, sorted by position, 5° ≤ 2θ ≤ 70°:
| h k l | d [Å] | Rel. int. |
| --- | --- | --- |
| 1 2 1 | 3.972 | 100 |
| 2 2 0 | 3.617 | 32 |
| 1 1 2 | 3.502 | 67 |
| 3 1 0 | 3.235 | 19 |
| 3 0 1 | 3.137 | 34 |
| 2 3 1 | 2.674 | 12 |
| 1 2 3 | 2.305 | 15 |
| 2 4 0 | 2.288 | 24 |
| 4 0 2 | 2.155 | 16 |
| 4 2 2 | 1.984 | 36 |
| 2 3 3 | 1.944 | 16 |
| 2 0 4 | 1.863 | 22 |